Diffraction record for Sm2BeFePt6. The powder diffractogram is theoretical, not measured: it uses DFT lattice parameters and positions (PBE) and CuKα.

Structural model:
Cell lengths 5.6876, 5.6876, 19.9901 Å; angles 90.00, 90.00, 120.00 degrees
Space group R-3m (No. 166, hexagonal axes)
Symmetry-distinct sites (fractional):
Sm (0.0000, 0.0000, 0.2101)
Be (0.0000, 0.0000, 0.0000)
Fe (0.0000, 0.0000, 0.5000)
Pt (0.0070, 0.5035, 0.2629)

Peak list (10 most intense, 10 to 80 degrees two-theta, sorted by position)
2θ (°), intensity
26.76, 43
28.76, 20
34.28, 18
36.37, 17
37.61, 100
40.85, 78
41.76, 12
52.15, 16
65.66, 25
72.24, 16



Diffraction record for TiBeFe2Pt. The powder diffractogram is theoretical, not measured: it uses DFT lattice parameters and positions (PBE) and CuKα.

Structural model:
Cell lengths 4.1528, 4.1528, 4.3277 Å; angles 90.00, 90.00, 90.00 degrees
Space group P4/mmm (No. 123)
Symmetry-distinct sites (fractional):
Ti (0.0000, 0.0000, 0.0000)
Be (0.0000, 0.0000, 0.5000)
Fe (0.0000, 0.5000, 0.0000)
Pt (0.5000, 0.5000, 0.5000)

Peak list (10 most intense, 10 to 80 degrees two-theta, sorted by position)
2θ (°), intensity
21.40, 37
29.82, 100
30.44, 14
37.00, 75
41.74, 24
43.59, 43
53.71, 38
61.94, 29
75.68, 18
78.77, 14



Diffraction record for Be8Fe3Re. The powder diffractogram is theoretical, not measured: it uses DFT lattice parameters and positions (PBE) and CuKα.

Structural model:
Cell lengths 4.2274, 4.2274, 6.9071 Å; angles 90.00, 90.00, 120.00 degrees
Space group P3m1 (No. 156)
Symmetry-distinct sites (fractional):
Be (0.0000, 0.0000, 0.0000)
Be (0.0000, 0.0000, 0.4944)
Be (0.1692, 0.3384, 0.7494)
Be (0.3412, 0.1706, 0.2414)
Fe (0.3333, 0.6667, 0.0566)
Fe (0.3333, 0.6667, 0.4324)
Fe (0.6667, 0.3333, 0.9353)
Re (0.6667, 0.3333, 0.5555)

Peak list (10 most intense, 10 to 80 degrees two-theta, sorted by position)
2θ (°), intensity
12.82, 54
24.31, 100
25.80, 48
27.58, 96
35.74, 57
42.78, 77
46.60, 86
50.63, 63
51.66, 24
65.10, 23